# CeTlSb2
Computed powder diffraction line list, Cu Kα (weighted mean of Kα1 and Kα2). Input: a DFT-relaxed cell (PBE, Alexandria).

Top 10 peaks for 2θ = 15–90°, most intense first:
2θ (°), Rel. int., h k l
34.31, 100, 1 0 2
30.20, 73, 1 1 0
56.33, 48, 2 1 2
43.24, 28, 2 0 0
63.92, 14, 1 1 4
89.34, 14, 3 2 2
71.26, 12, 3 1 0
73.56, 11, 3 0 2
72.31, 10, 2 0 4
62.81, 9, 2 2 0

Structure:
```
data_CeTlSb2
_symmetry_space_group_name_H-M 'P 4/m m m'
_symmetry_Int_Tables_number 123
_symmetry_space_group_name_Hall '-P 4 2'
_cell_length_a 4.1847
_cell_length_b 4.1847
_cell_length_c 6.6920
_cell_angle_alpha 90.00
_cell_angle_beta 90.00
_cell_angle_gamma 90.00
loop_
_atom_site_label
_atom_site_type_symbol
_atom_site_fract_x
_atom_site_fract_y
_atom_site_fract_z
_atom_site_occupancy
Ce1 Ce 0.0000 0.0000 0.0000 1
Tl1 Tl 0.0000 0.0000 0.5000 1
Sb1 Sb 0.5000 0.5000 0.2233 1
```